Entry 1:
For YTlGa, a crystal structure in Alexandria, relaxed with GGA-PBE gives the theoretical XRD peak list in this record (Cu Kα).

Atomic structure:
Cell lengths 6.278, 6.278, 5.649 Å; angles 90.00, 90.00, 137.15 degrees
Atoms (fractional coordinates):
Y1 0.096 0.904 0.750
Y2 0.904 0.096 0.250
Tl1 0.222 0.778 0.250
Tl2 0.778 0.222 0.750
Ga1 0.433 0.567 0.750
Ga2 0.567 0.433 0.250

Main lines, in order of rising 2θ (10° ≤ 2θ ≤ 90°):
Position (°2θ)	Rel. int.
15.16	17
26.16	23
30.10	13
31.68	37
34.11	100
39.29	20
44.26	9
49.49	11
51.32	19
57.99	22
64.94	9
67.92	13

---

Entry 2:
For Li3ErPd7, a crystal structure in Alexandria, relaxed with GGA-PBE gives the theoretical XRD peak list in this record (Cu Kα).

Atomic structure:
Cell lengths 5.930, 5.930, 5.174 Å; angles 94.05, 94.05, 85.51 degrees
Atoms (fractional coordinates):
Li1 0.000 0.000 0.000
Li2 0.187 0.813 0.500
Li3 0.813 0.187 0.500
Er1 0.500 0.500 0.000
Pd1 0.075 0.415 0.236
Pd2 0.222 0.222 0.713
Pd3 0.415 0.075 0.236
Pd4 0.500 0.500 0.500
Pd5 0.585 0.925 0.764
Pd6 0.778 0.778 0.287
Pd7 0.925 0.585 0.764

Main lines, in order of rising 2θ (10° ≤ 2θ ≤ 90°):
Position (°2θ)	Rel. int.
15.02	100
20.49	64
30.30	35
32.94	49
38.79	96
38.92	87
39.07	38
39.72	64
41.67	79
42.53	57
48.46	41
50.78	36

---

Entry 3:
For SmZr2Zn6, a crystal structure in Alexandria, relaxed with GGA-PBE gives the theoretical XRD peak list in this record (Cu Kα).

Atomic structure:
Cell lengths 7.684, 7.684, 3.247 Å; angles 90.00, 90.00, 120.00 degrees
Atoms (fractional coordinates):
Sm1 0.000 0.000 0.000
Zr1 0.333 0.667 0.000
Zr2 0.667 0.333 0.000
Zn1 0.000 0.340 0.500
Zn2 0.000 0.660 0.500
Zn3 0.340 0.000 0.500
Zn4 0.340 0.340 0.500
Zn5 0.660 0.000 0.500
Zn6 0.660 0.660 0.500

Main lines, in order of rising 2θ (10° ≤ 2θ ≤ 90°):
Position (°2θ)	Rel. int.
13.31	3
23.15	8
26.80	2
30.64	2
36.22	100
40.68	69
55.59	28
56.70	8
71.12	26
72.10	24
74.03	11
88.07	7

---

Entry 4:
For BaLi4Si4, a crystal structure in Alexandria, relaxed with GGA-PBE gives the theoretical XRD peak list in this record (Cu Kα).

Atomic structure:
Cell lengths 7.234, 7.234, 7.234 Å; angles 94.00, 94.00, 149.35 degrees
Atoms (fractional coordinates):
Ba1 0.000 0.000 0.000
Li1 0.151 0.562 0.713
Li2 0.438 0.151 0.588
Li3 0.562 0.849 0.412
Li4 0.849 0.438 0.287
Si1 0.242 0.321 0.563
Si2 0.321 0.758 0.078
Si3 0.679 0.242 0.922
Si4 0.758 0.679 0.437

Main lines, in order of rising 2θ (10° ≤ 2θ ≤ 90°):
Position (°2θ)	Rel. int.
12.69	100
24.98	34
25.53	59
28.61	48
30.95	100
36.02	32
36.42	16
40.54	15
44.67	23
52.16	37
55.62	19
56.45	14

---

Entry 5:
For CdHRh3, a crystal structure in Alexandria, relaxed with GGA-PBE gives the theoretical XRD peak list in this record (Cu Kα).

Atomic structure:
Cell lengths 5.388, 4.897, 5.566 Å; angles 90.00, 116.85, 90.00 degrees
Atoms (fractional coordinates):
Cd1 0.129 0.000 0.125
Cd2 0.871 0.500 0.875
H1 0.457 0.984 0.818
H2 0.543 0.484 0.182
Rh1 0.118 0.825 0.609
Rh2 0.366 0.334 0.857
Rh3 0.371 0.495 0.394
Rh4 0.629 0.995 0.606
Rh5 0.634 0.834 0.143
Rh6 0.882 0.325 0.391

Main lines, in order of rising 2θ (10° ≤ 2θ ≤ 90°):
Position (°2θ)	Rel. int.
36.31	49
36.70	23
38.62	79
40.74	100
41.66	98
41.87	95
65.84	32
70.53	17
71.95	18
72.88	17
78.25	18
79.78	27

---

Entry 6:
For Mg4Pa3IrN8, a crystal structure in Alexandria, relaxed with GGA-PBE gives the theoretical XRD peak list in this record (Cu Kα).

Atomic structure:
Cell lengths 6.837, 6.837, 6.306 Å; angles 114.52, 114.52, 55.07 degrees
Atoms (fractional coordinates):
Mg1 0.000 0.000 0.000
Mg2 0.000 0.500 0.500
Mg3 0.500 0.000 0.500
Mg4 0.500 0.500 0.000
Pa1 0.000 0.000 0.500
Pa2 0.000 0.500 0.000
Pa3 0.500 0.000 0.000
Ir1 0.500 0.500 0.500
N1 0.202 0.202 0.204
N2 0.224 0.224 0.710
N3 0.229 0.706 0.226
N4 0.294 0.771 0.774
N5 0.706 0.229 0.226
N6 0.771 0.294 0.774
N7 0.776 0.776 0.290
N8 0.798 0.798 0.796

Main lines, in order of rising 2θ (10° ≤ 2θ ≤ 90°):
Position (°2θ)	Rel. int.
16.75	100
27.99	28
32.13	27
32.57	41
32.90	51
33.45	35
33.87	24
40.45	44
41.27	20
52.27	20
54.63	17
61.19	12

---

Entry 7:
For Ti3CoIr2, a crystal structure in Alexandria, relaxed with GGA-PBE gives the theoretical XRD peak list in this record (Cu Kα).

Atomic structure:
Cell lengths 6.701, 6.701, 6.473 Å; angles 90.00, 90.00, 143.11 degrees
Atoms (fractional coordinates):
Ti1 0.000 0.000 0.243
Ti2 0.000 0.000 0.757
Ti3 0.330 0.670 0.238
Ti4 0.330 0.670 0.762
Ti5 0.670 0.330 0.238
Ti6 0.670 0.330 0.762
Co1 0.167 0.833 0.000
Co2 0.833 0.167 0.000
Ir1 0.166 0.834 0.500
Ir2 0.500 0.500 0.000
Ir3 0.500 0.500 0.500
Ir4 0.834 0.166 0.500

Main lines, in order of rising 2θ (10° ≤ 2θ ≤ 90°):
Position (°2θ)	Rel. int.
13.68	14
27.56	19
29.81	31
32.93	10
41.04	100
42.66	45
51.54	15
56.91	10
61.91	14
73.65	17
77.00	30
89.03	11

---

Entry 8:
For K5Ga4As4, a crystal structure in Alexandria, relaxed with GGA-PBE gives the theoretical XRD peak list in this record (Cu Kα).

Atomic structure:
Cell lengths 9.365, 9.365, 9.365 Å; angles 93.19, 93.19, 152.73 degrees
Atoms (fractional coordinates):
K1 0.000 0.000 0.000
K2 0.293 0.359 0.652
K3 0.359 0.707 0.066
K4 0.641 0.293 0.934
K5 0.707 0.641 0.348
Ga1 0.090 0.563 0.653
Ga2 0.437 0.090 0.527
Ga3 0.563 0.910 0.473
Ga4 0.910 0.437 0.347
As1 0.044 0.282 0.326
As2 0.282 0.956 0.237
As3 0.718 0.044 0.763
As4 0.956 0.718 0.674

Main lines, in order of rising 2θ (10° ≤ 2θ ≤ 90°):
Position (°2θ)	Rel. int.
13.76	19
29.02	50
29.44	22
31.07	25
32.25	100
35.21	31
35.57	30
40.57	93
40.88	41
50.12	28
66.59	22
87.59	22

---

Entry 9:
For Y2InHg6, a crystal structure in Alexandria, relaxed with GGA-PBE gives the theoretical XRD peak list in this record (Cu Kα).

Atomic structure:
Cell lengths 6.038, 6.038, 6.088 Å; angles 92.38, 92.38, 92.99 degrees
Atoms (fractional coordinates):
Y1 0.177 0.177 0.178
Y2 0.823 0.823 0.822
In1 0.500 0.500 0.500
Hg1 0.001 0.669 0.333
Hg2 0.331 0.669 0.000
Hg3 0.331 0.999 0.667
Hg4 0.669 0.001 0.333
Hg5 0.669 0.331 0.000
Hg6 0.999 0.331 0.667

Main lines, in order of rising 2θ (10° ≤ 2θ ≤ 90°):
Position (°2θ)	Rel. int.
20.29	15
26.74	25
33.61	27
33.79	27
33.99	27
35.53	100
44.86	13
45.16	13
63.80	18
67.05	10
67.51	10
75.21	12

---

Entry 10:
For Pm2Mg2Si4Pd, a crystal structure in Alexandria, relaxed with GGA-PBE gives the theoretical XRD peak list in this record (Cu Kα).

Atomic structure:
Cell lengths 6.280, 6.280, 6.280 Å; angles 120.51, 120.51, 89.11 degrees
Atoms (fractional coordinates):
Pm1 0.250 0.750 0.500
Pm2 0.750 0.250 0.500
Mg1 0.217 0.217 0.000
Mg2 0.783 0.783 0.000
Si1 0.211 0.211 0.423
Si2 0.211 0.789 0.000
Si3 0.789 0.211 0.000
Si4 0.789 0.789 0.577
Pd1 0.500 0.500 0.000

Main lines, in order of rising 2θ (10° ≤ 2θ ≤ 90°):
Position (°2θ)	Rel. int.
20.15	14
28.43	100
28.65	46
33.69	15
35.10	49
40.31	23
40.97	42
50.20	18
50.62	35
58.83	27
59.32	13
74.17	12

---

Entry 11:
For SrThC3N6, a crystal structure in Alexandria, relaxed with GGA-PBE gives the theoretical XRD peak list in this record (Cu Kα).

Atomic structure:
Cell lengths 6.510, 6.510, 6.510 Å; angles 64.02, 64.02, 64.02 degrees
Atoms (fractional coordinates):
Sr1 0.000 0.000 0.000
Th1 0.644 0.644 0.644
C1 0.113 0.561 0.778
C2 0.561 0.778 0.113
C3 0.778 0.113 0.561
N1 0.232 0.673 0.765
N2 0.451 0.792 0.992
N3 0.673 0.765 0.232
N4 0.765 0.232 0.673
N5 0.792 0.992 0.451
N6 0.992 0.451 0.792

Main lines, in order of rising 2θ (10° ≤ 2θ ≤ 90°):
Position (°2θ)	Rel. int.
15.90	100
17.23	37
18.77	67
25.82	52
31.20	93
32.12	21
32.63	22
41.66	20
42.07	16
43.88	32
45.53	18
49.03	21

---

Entry 12:
For CuHI3, a crystal structure in Alexandria, relaxed with GGA-PBE gives the theoretical XRD peak list in this record (Cu Kα).

Atomic structure:
Cell lengths 10.751, 10.751, 8.692 Å; angles 90.00, 90.00, 158.73 degrees
Atoms (fractional coordinates):
Cu1 0.127 0.873 0.500
Cu2 0.873 0.127 0.000
H1 0.305 0.695 0.638
H2 0.695 0.305 0.138
I1 0.085 0.915 0.765
I2 0.259 0.741 0.479
I3 0.394 0.606 0.819
I4 0.606 0.394 0.319
I5 0.741 0.259 0.979
I6 0.915 0.085 0.265

Main lines, in order of rising 2θ (10° ≤ 2θ ≤ 90°):
Position (°2θ)	Rel. int.
13.19	33
16.78	17
22.12	45
25.02	54
25.29	41
26.56	28
27.32	20
27.77	100
38.71	43
38.89	20
46.12	21
49.27	33

---

Entry 13:
For Rb2CuSnTe4, a crystal structure in Alexandria, relaxed with GGA-PBE gives the theoretical XRD peak list in this record (Cu Kα).

Atomic structure:
Cell lengths 14.390, 13.131, 7.723 Å; angles 82.92, 64.89, 32.18 degrees
Atoms (fractional coordinates):
Rb1 0.061 0.061 0.689
Rb2 0.311 0.311 0.939
Rb3 0.689 0.689 0.061
Rb4 0.939 0.939 0.311
Cu1 0.375 0.375 0.375
Cu2 0.625 0.625 0.625
Sn1 0.125 0.125 0.125
Sn2 0.875 0.875 0.875
Te1 0.019 0.358 0.423
Te2 0.300 0.577 0.642
Te3 0.358 0.019 0.700
Te4 0.423 0.700 0.019
Te5 0.577 0.300 0.981
Te6 0.642 0.981 0.300
Te7 0.700 0.423 0.358
Te8 0.981 0.642 0.577

Main lines, in order of rising 2θ (10° ≤ 2θ ≤ 90°):
Position (°2θ)	Rel. int.
14.68	44
23.42	40
25.47	100
28.23	29
29.19	96
33.07	76
37.19	26
44.02	29
45.07	29
46.00	30
46.94	26
47.31	38